# Ba2Mg2Cd15
Computed X-ray powder pattern, λ = 1.5418 Å (Cu Kα). Input: DFT lattice parameters and positions (GGA-PBE).
No peak broadening, texture or thermal motion is included.

Lattice parameters (Å, degrees): 10.3032 10.3032 15.2846 90.00 90.00 120.00
Space group R-3m (No. 166, hexagonal axes)
One atom of each set of equivalent atoms:
Ba: 0.0000 0.0000 0.1610 x6
Mg: 0.0000 0.0000 0.4002 x6
Cd: 0.0000 0.2908 0.5000 x18
Cd: 0.0000 0.5000 0.0000 x9
Cd: 0.0063 0.5031 0.6492 x18

Largest 8 diffraction maxima, in order of rising 2θ, 10 to 90 degrees two-theta:
- 2θ = 17.21°, I 27, (1 1 0)
- 2θ = 30.81°, I 19, (0 2 4)
- 2θ = 34.83°, I 45, (2 2 0)
- 2θ = 34.93°, I 100, (0 3 3)
- 2θ = 35.23°, I 41, (0 0 6)
- 2θ = 35.58°, I 22, (2 0 5)
- 2θ = 39.19°, I 60, (2 2 3)
- 2θ = 50.38°, I 18, (2 2 6)